LaMgAlAg3: calculated PXRD pattern (Cu Ka), based on a cell relaxed with PBE.

Crystal structure
Unit cell a=6.9286 b=13.0141 c=6.0543 alpha=90.00 beta=90.00 gamma=90.00
Space group Cmcm (No. 63)
Symmetry-distinct sites (fractional):
La (0.0000, 0.2083, 0.2500) [4 per cell]
Mg (0.0000, 0.4499, 0.2500) [4 per cell]
Al (0.0000, 0.1362, 0.7500) [4 per cell]
Ag (0.0000, 0.3397, 0.7500) [4 per cell]
Ag (0.1991, 0.0000, 0.0000) [8 per cell]

Peak list (10 most intense, 5 to 70 degrees two-theta, sorted by position)
two_theta  I/Imax  h k l
20.03  33.2  0 2 1
27.41  20.0  0 4 0
29.20  89.4  2 2 0
31.21  34.1  0 4 1
32.63  85.9  0 2 2
32.81  19.7  2 2 1
39.55  100.0  2 0 2
39.88  25.8  1 5 1
40.71  19.8  0 4 2
40.87  32.4  2 4 1